This entry pairs a crystal structure of YHo2Tm7 with its calculated PXRD pattern. Radiation: a wavelength of 1.5418 Å. Structure: a GGA-PBE-relaxed structure.
Peak positions follow from Bragg's law for the DFT cell and can differ from measured ones.

Structural model:
Cell lengths 5.355, 6.947, 16.463 Å; angles 90.00, 90.00, 90.00 degrees
Space group Immm (No. 71)
Symmetry-distinct sites (fractional):
1 Y 0.000 0.000 0.000
2 Ho 0.000 0.500 0.199
3 Tm 0.000 0.000 0.200
4 Tm 0.000 0.249 0.390
5 Tm 0.000 0.500 0.000

Main lines, low angle first (10 to 90 degrees two-theta):
2theta, I/Imax, index
31.17, 84, 1 2 1
31.91, 100, 1 0 5
33.47, 46, 2 0 0
33.77, 42, 0 2 4
34.86, 24, 1 2 3
41.96, 16, 0 2 6
48.28, 31, 2 2 4
58.85, 18, 3 0 5
59.68, 18, 1 2 9
62.94, 36, 1 4 5